[1]
The following is a computed powder X-ray diffraction pattern of Tb2Ga8Co. It was derived from a DFT-relaxed cell (PBE, the Materials Project), using Cu Ka.
Lines closer than 0.1° are merged.

Main lines, by angle (2θ from 15° to 90°):
| hkl | d (Å) | 2theta | I_rel |
| --- | --- | --- | --- |
| 1 0 0 | 4.254 | 20.88 | 22 |
| 1 1 2 | 2.643 | 33.92 | 57 |
| 1 1 3 | 2.331 | 38.62 | 100 |
| 0 0 5 | 2.214 | 40.76 | 24 |
| 2 0 0 | 2.127 | 42.50 | 61 |
| 2 0 5 | 1.534 | 60.35 | 30 |
| 2 2 0 | 1.504 | 61.68 | 20 |
| 3 1 3 | 1.264 | 75.18 | 27 |
| 1 1 8 | 1.257 | 75.67 | 13 |
| 2 2 5 | 1.244 | 76.59 | 15 |

Crystal structure
```
data_Tb2Ga8Co
_chemical_formula_sum 'Tb2 Ga8 Co1'
_space_group_name_H-M_alt 'P 4/m m m'
_space_group_IT_number 123
_space_group_name_Hall '-P 4 2'
_cell_length_a 4.254
_cell_length_b 4.254
_cell_length_c 11.068
_cell_angle_alpha 90.00
_cell_angle_beta 90.00
_cell_angle_gamma 90.00
loop_
_atom_site_label
_atom_site_fract_x
_atom_site_fract_y
_atom_site_fract_z
Tb1 0.000 0.000 0.195
Ga1 0.000 0.500 0.000
Ga2 0.000 0.500 0.385
Ga3 0.500 0.500 0.201
Co1 0.000 0.000 0.500
```



[2]
The following is a computed powder X-ray diffraction pattern of Pr6Fe13Sb. It was derived from a DFT-relaxed cell (PBE, the Materials Project), using Cu Ka.
Lines closer than 0.1° are merged.

Main lines, by angle (2θ from 15° to 90°):
| hkl | d (Å) | 2theta | I_rel |
| --- | --- | --- | --- |
| 2 1 3 | 3.296 | 27.06 | 72 |
| 2 2 0 | 2.875 | 31.11 | 100 |
| 2 0 6 | 2.824 | 31.68 | 33 |
| 1 1 8 | 2.624 | 34.17 | 32 |
| 3 1 0 | 2.566 | 34.96 | 84 |
| 2 0 8 | 2.386 | 37.70 | 55 |
| 2 1 9 | 2.126 | 42.53 | 42 |
| 4 1 1 | 1.962 | 46.28 | 36 |
| 4 2 0 | 1.816 | 50.25 | 39 |
| 3 3 8 | 1.605 | 57.41 | 29 |

Crystal structure
```
data_Pr6Fe13Sb
_chemical_formula_sum 'Pr24 Fe52 Sb4'
_space_group_name_H-M_alt 'I 4/m c m'
_space_group_IT_number 140
_space_group_name_Hall '-I 4 2c'
_cell_length_a 8.116
_cell_length_b 8.116
_cell_length_c 23.602
_cell_angle_alpha 90.00
_cell_angle_beta 90.00
_cell_angle_gamma 90.00
loop_
_atom_site_label
_atom_site_fract_x
_atom_site_fract_y
_atom_site_fract_z
Pr1 0.000 0.000 0.104
Pr2 0.162 0.338 0.186
Fe1 0.000 0.500 0.000
Fe2 0.067 0.210 0.500
Fe3 0.113 0.387 0.407
Fe4 0.178 0.322 0.058
Sb1 0.000 0.000 0.250
```